# MgNi3H
Calculated X-ray diffraction stick pattern, Cu Kα. Input: a cell relaxed with GGA-PBE.
No peak broadening, texture or thermal motion is included.

```
data_MgNi3H
_chemical_formula_sum 'Mg4 Ni12 H4'
_cell_length_a 4.777
_cell_length_b 6.357
_cell_length_c 7.211
_cell_angle_alpha 90.00
_cell_angle_beta 90.00
_cell_angle_gamma 90.00
_symmetry_space_group_name_H-M 'I m m a'
_symmetry_Int_Tables_number 74
_symmetry_space_group_name_Hall '-I 2b 2'
loop_
_atom_site_label
_atom_site_fract_x
_atom_site_fract_y
_atom_site_fract_z
Mg1 0.000 0.000 0.000
Ni1 0.000 0.072 0.348
Ni2 0.250 0.250 0.750
H1 0.000 0.250 0.568
```

Largest 12 diffraction maxima, sorted by position, 2θ = 10–80°:
- 22.33 deg, d 3.982, intensity 59
- 24.69 deg, d 3.605, intensity 59
- 34.20 deg, d 2.622, intensity 41
- 37.70 deg, d 2.386, intensity 47
- 40.11 deg, d 2.248, intensity 30
- 42.08 deg, d 2.147, intensity 94
- 42.32 deg, d 2.135, intensity 100
- 44.57 deg, d 2.033, intensity 100
- 47.63 deg, d 1.909, intensity 83
- 51.36 deg, d 1.779, intensity 48
- 53.72 deg, d 1.706, intensity 56
- 64.80 deg, d 1.439, intensity 21